Record 1
Diffraction record for CsAuBr3. The X-ray powder pattern is calculated, not measured: it uses DFT lattice parameters and positions (GGA-PBE) and Cu Kα.
Neutral-atom scattering factors, no anomalous dispersion.

Structure:
Unit cell a=8.114 b=8.114 c=8.114 alpha=121.50 beta=121.50 gamma=87.41
Sites, in units of the cell vectors:
Cs  0.250  0.750  0.500
Cs  0.750  0.250  0.500
Au  0.000  0.000  0.000
Au  0.500  0.500  0.000
Br  0.210  0.210  0.000
Br  0.275  0.275  0.551
Br  0.275  0.725  0.000
Br  0.725  0.275  0.000
Br  0.725  0.725  0.449
Br  0.790  0.790  0.000

The 10 most intense peaks (2θ from 15° to 90°), in order of rising 2θ:
15.8 deg, intensity 36.7; 21.9 deg, intensity 100.0; 22.4 deg, intensity 45.2; 27.2 deg, intensity 24.0; 30.5 deg, intensity 47.9; 31.9 deg, intensity 91.9; 39.1 deg, intensity 40.8; 44.7 deg, intensity 62.3; 45.8 deg, intensity 31.6; 56.0 deg, intensity 31.3

=====

Record 2
Diffraction record for CsAuBr3. The X-ray powder pattern is calculated, not measured: it uses DFT lattice parameters and positions (GGA-PBE) and Cu Kα.
Neutral-atom scattering factors, no anomalous dispersion.

Structure:
Unit cell a=5.473 b=5.473 c=5.473 alpha=90.00 beta=90.00 gamma=90.00
Sites, in units of the cell vectors:
Cs  0.000  0.000  0.000
Au  0.500  0.500  0.500
Br  0.000  0.500  0.500
Br  0.500  0.000  0.500
Br  0.500  0.500  0.000

The 10 most intense peaks (2θ from 15° to 90°), in order of rising 2θ:
16.2 deg, intensity 36.1; 23.0 deg, intensity 87.6; 32.7 deg, intensity 100.0; 36.7 deg, intensity 20.4; 40.4 deg, intensity 41.5; 47.0 deg, intensity 72.2; 58.4 deg, intensity 25.0; 63.6 deg, intensity 22.2; 78.1 deg, intensity 32.8; 87.3 deg, intensity 25.6

=====

Record 3
Diffraction record for Cs2GaAuBr6. The X-ray powder pattern is calculated, not measured: it uses DFT lattice parameters and positions (GGA-PBE) and Cu Kα.
Neutral-atom scattering factors, no anomalous dispersion.

Structure:
Unit cell a=7.751 b=7.751 c=7.751 alpha=60.00 beta=60.00 gamma=60.00
Sites, in units of the cell vectors:
Cs  0.250  0.250  0.250
Cs  0.750  0.750  0.750
Ga  0.000  0.000  0.000
Au  0.500  0.500  0.500
Br  0.242  0.242  0.758
Br  0.242  0.758  0.242
Br  0.242  0.758  0.758
Br  0.758  0.242  0.242
Br  0.758  0.242  0.758
Br  0.758  0.758  0.242

The 10 most intense peaks (2θ from 15° to 90°), in order of rising 2θ:
16.2 deg, intensity 16.2; 22.9 deg, intensity 62.9; 28.2 deg, intensity 43.8; 32.7 deg, intensity 100.0; 40.3 deg, intensity 28.9; 46.9 deg, intensity 71.3; 55.6 deg, intensity 17.7; 58.3 deg, intensity 24.5; 78.0 deg, intensity 31.4; 87.1 deg, intensity 24.2

=====

Record 4
Diffraction record for Cs2HgAuBr6. The X-ray powder pattern is calculated, not measured: it uses DFT lattice parameters and positions (GGA-PBE) and Cu Kα.
Neutral-atom scattering factors, no anomalous dispersion.

Structure:
Unit cell a=7.897 b=7.897 c=7.897 alpha=60.00 beta=60.00 gamma=60.00
Sites, in units of the cell vectors:
Cs  0.250  0.250  0.250
Cs  0.750  0.750  0.750
Hg  0.000  0.000  0.000
Au  0.500  0.500  0.500
Br  0.256  0.256  0.744
Br  0.256  0.744  0.256
Br  0.256  0.744  0.744
Br  0.744  0.256  0.256
Br  0.744  0.256  0.744
Br  0.744  0.744  0.256

The 10 most intense peaks (2θ from 15° to 90°), in order of rising 2θ:
15.9 deg, intensity 36.4; 22.5 deg, intensity 88.1; 32.1 deg, intensity 100.0; 36.0 deg, intensity 20.5; 39.5 deg, intensity 41.9; 46.0 deg, intensity 72.5; 57.1 deg, intensity 25.2; 62.2 deg, intensity 23.0; 76.3 deg, intensity 32.5; 85.1 deg, intensity 25.0

=====

Record 5
Diffraction record for Cs2InAuBr6. The X-ray powder pattern is calculated, not measured: it uses DFT lattice parameters and positions (GGA-PBE) and Cu Kα.
Neutral-atom scattering factors, no anomalous dispersion.

Structure:
Unit cell a=7.917 b=7.917 c=7.917 alpha=60.00 beta=60.00 gamma=60.00
Sites, in units of the cell vectors:
Cs  0.250  0.250  0.250
Cs  0.750  0.750  0.750
In  0.000  0.000  0.000
Au  0.500  0.500  0.500
Br  0.247  0.247  0.753
Br  0.247  0.753  0.247
Br  0.247  0.753  0.753
Br  0.753  0.247  0.247
Br  0.753  0.247  0.753
Br  0.753  0.753  0.247

The 10 most intense peaks (2θ from 15° to 90°), in order of rising 2θ:
15.8 deg, intensity 22.7; 22.5 deg, intensity 70.9; 27.6 deg, intensity 33.5; 32.0 deg, intensity 100.0; 39.4 deg, intensity 33.4; 45.8 deg, intensity 72.3; 57.0 deg, intensity 25.0; 62.0 deg, intensity 17.8; 76.0 deg, intensity 32.3; 84.8 deg, intensity 24.8

=====

- Which formula does entry 1 have?
  CsAuBr3